[1]
Simulated powder diffractogram
Compound: Zr7Sn4
Radiation: copper Kα
Structure: the PBE geometry in OQMD
Peak positions follow from Bragg's law for the DFT cell and can differ from measured ones.

Most intense lines, 2θ from 5° to 70°, sorted by position:
- 29.53°, intensity 507
- 31.65°, intensity 339
- 33.87°, intensity 862
- 34.44°, intensity 769
- 37.38°, intensity 682
- 37.51°, intensity 1000
- 39.25°, intensity 920
- 45.54°, intensity 268
- 61.29°, intensity 537
- 66.51°, intensity 257

Crystal structure
a b c (Å): 8.673 8.673 8.673
angles (deg): 40.82 40.82 40.82
Positions (direct):
Zr  0.000  0.000  0.000
Zr  0.108  0.603  0.603
Zr  0.397  0.397  0.892
Zr  0.397  0.892  0.397
Zr  0.603  0.108  0.603
Zr  0.603  0.603  0.108
Zr  0.892  0.397  0.397
Sn  0.122  0.122  0.122
Sn  0.333  0.333  0.333
Sn  0.667  0.667  0.667
Sn  0.878  0.878  0.878



[2]
Simulated powder diffractogram
Compound: Sr2Tc
Radiation: copper Kα
Structure: the PBE geometry in OQMD
Peak positions follow from Bragg's law for the DFT cell and can differ from measured ones.

Most intense lines, 2θ from 5° to 70°, sorted by position:
- 27.49°, intensity 307
- 32.35°, intensity 1000
- 33.83°, intensity 362
- 39.26°, intensity 33
- 48.60°, intensity 124
- 51.75°, intensity 345
- 56.74°, intensity 296
- 64.18°, intensity 53
- 66.84°, intensity 119
- 67.72°, intensity 142

Crystal structure
a b c (Å): 6.490 6.490 6.490
angles (deg): 60.00 60.00 60.00
Positions (direct):
Sr  0.000  0.000  0.000
Sr  0.000  0.000  0.500
Sr  0.000  0.500  0.000
Sr  0.500  0.000  0.000
Tc  0.375  0.375  0.375
Tc  0.625  0.625  0.625



[3]
Simulated powder diffractogram
Compound: Sr3Tl2Tc2
Radiation: copper Kα
Structure: the PBE geometry in OQMD
Peak positions follow from Bragg's law for the DFT cell and can differ from measured ones.

Most intense lines, 2θ from 5° to 70°, sorted by position:
- 21.03°, intensity 240
- 28.96°, intensity 379
- 30.34°, intensity 1000
- 31.64°, intensity 892
- 34.89°, intensity 379
- 42.81°, intensity 254
- 43.30°, intensity 246
- 54.61°, intensity 381
- 56.37°, intensity 191
- 61.27°, intensity 191

Crystal structure
a b c (Å): 4.179 22.836 4.225
angles (deg): 90.00 90.00 90.00
Positions (direct):
Sr  0.000  0.000  0.000
Sr  0.000  0.170  0.000
Sr  0.000  0.830  0.000
Sr  0.500  0.330  0.000
Sr  0.500  0.500  0.000
Sr  0.500  0.670  0.000
Tl  0.000  0.407  0.500
Tl  0.000  0.593  0.500
Tl  0.500  0.093  0.500
Tl  0.500  0.907  0.500
Tc  0.000  0.275  0.500
Tc  0.000  0.725  0.500
Tc  0.500  0.225  0.500
Tc  0.500  0.775  0.500



[4]
Simulated powder diffractogram
Compound: Sr3Zn4
Radiation: copper Kα
Structure: the PBE geometry in OQMD
Peak positions follow from Bragg's law for the DFT cell and can differ from measured ones.

Most intense lines, 2θ from 5° to 70°, sorted by position:
- 10.18°, intensity 390
- 26.14°, intensity 247
- 27.15°, intensity 433
- 28.11°, intensity 172
- 33.41°, intensity 1000
- 37.31°, intensity 158
- 38.75°, intensity 288
- 42.24°, intensity 279
- 47.96°, intensity 258
- 49.77°, intensity 158

Crystal structure
a b c (Å): 10.034 10.034 4.648
angles (deg): 90.00 90.00 120.00
Positions (direct):
Sr  0.100  0.416  0.250
Sr  0.316  0.900  0.250
Sr  0.416  0.316  0.750
Sr  0.584  0.684  0.250
Sr  0.684  0.100  0.750
Sr  0.900  0.584  0.750
Zn  0.038  0.171  0.750
Zn  0.133  0.962  0.750
Zn  0.171  0.133  0.250
Zn  0.333  0.667  0.750
Zn  0.667  0.333  0.250
Zn  0.829  0.867  0.750
Zn  0.867  0.038  0.250
Zn  0.962  0.829  0.250



[5]
Simulated powder diffractogram
Compound: Sr3Zn11
Radiation: copper Kα
Structure: the PBE geometry in OQMD
Peak positions follow from Bragg's law for the DFT cell and can differ from measured ones.

Most intense lines, 2θ from 5° to 70°, sorted by position:
- 32.79°, intensity 302
- 34.08°, intensity 1000
- 34.67°, intensity 732
- 34.84°, intensity 243
- 37.24°, intensity 381
- 39.30°, intensity 272
- 40.24°, intensity 642
- 40.58°, intensity 240
- 43.59°, intensity 168
- 44.30°, intensity 280

Crystal structure
a b c (Å): 8.494 8.494 8.494
angles (deg): 149.41 111.84 76.54
Positions (direct):
Sr  0.000  0.000  0.000
Sr  0.301  0.301  0.000
Sr  0.699  0.699  0.000
Zn  0.019  0.665  0.354
Zn  0.158  0.873  0.285
Zn  0.299  0.500  0.799
Zn  0.312  0.665  0.646
Zn  0.412  0.127  0.285
Zn  0.500  0.000  0.500
Zn  0.588  0.873  0.715
Zn  0.688  0.335  0.354
Zn  0.701  0.500  0.201
Zn  0.842  0.127  0.715
Zn  0.981  0.335  0.646



[6]
Simulated powder diffractogram
Compound: SrZn
Radiation: copper Kα
Structure: the PBE geometry in OQMD
Peak positions follow from Bragg's law for the DFT cell and can differ from measured ones.

Most intense lines, 2θ from 5° to 70°, sorted by position:
- 25.62°, intensity 323
- 29.72°, intensity 689
- 30.11°, intensity 575
- 32.87°, intensity 707
- 35.33°, intensity 1000
- 36.55°, intensity 505
- 38.17°, intensity 344
- 48.06°, intensity 308
- 53.88°, intensity 246
- 63.52°, intensity 248

Crystal structure
a b c (Å): 7.599 4.916 6.447
angles (deg): 90.00 90.00 90.00
Positions (direct):
Sr  0.176  0.250  0.135
Sr  0.324  0.750  0.635
Sr  0.676  0.250  0.365
Sr  0.824  0.750  0.865
Zn  0.035  0.250  0.614
Zn  0.465  0.750  0.114
Zn  0.535  0.250  0.886
Zn  0.965  0.750  0.386



[7]
Simulated powder diffractogram
Compound: SrZr
Radiation: copper Kα
Structure: the PBE geometry in OQMD
Peak positions follow from Bragg's law for the DFT cell and can differ from measured ones.

Most intense lines, 2θ from 5° to 70°, sorted by position:
- 28.27°, intensity 127
- 29.57°, intensity 180
- 31.41°, intensity 323
- 32.43°, intensity 1000
- 33.58°, intensity 266
- 43.68°, intensity 121
- 51.67°, intensity 124
- 56.57°, intensity 197
- 59.57°, intensity 100
- 61.73°, intensity 144

Crystal structure
a b c (Å): 6.042 5.696 7.404
angles (deg): 90.00 90.00 90.00
Positions (direct):
Sr  0.078  0.250  0.124
Sr  0.422  0.750  0.624
Sr  0.578  0.250  0.376
Sr  0.922  0.750  0.876
Zr  0.049  0.250  0.622
Zr  0.451  0.750  0.122
Zr  0.549  0.250  0.878
Zr  0.951  0.750  0.378



[8]
Simulated powder diffractogram
Compound: TaTe2
Radiation: copper Kα
Structure: the PBE geometry in OQMD
Peak positions follow from Bragg's law for the DFT cell and can differ from measured ones.

Most intense lines, 2θ from 5° to 70°, sorted by position:
- 12.49°, intensity 1000
- 28.60°, intensity 536
- 29.48°, intensity 236
- 30.66°, intensity 232
- 32.12°, intensity 489
- 33.84°, intensity 422
- 35.77°, intensity 741
- 37.89°, intensity 352
- 40.18°, intensity 418
- 49.33°, intensity 660

Crystal structure
a b c (Å): 3.694 3.694 28.344
angles (deg): 90.00 90.00 120.00
Positions (direct):
Ta  0.333  0.667  0.000
Ta  0.333  0.667  0.252
Ta  0.667  0.333  0.500
Ta  0.667  0.333  0.752
Te  0.000  0.000  0.065
Te  0.000  0.000  0.435
Te  0.000  0.000  0.565
Te  0.000  0.000  0.935
Te  0.333  0.667  0.687
Te  0.333  0.667  0.817
Te  0.667  0.333  0.187
Te  0.667  0.333  0.317



[9]
Simulated powder diffractogram
Compound: TaTe4
Radiation: copper Kα
Structure: the PBE geometry in OQMD
Peak positions follow from Bragg's law for the DFT cell and can differ from measured ones.

Most intense lines, 2θ from 5° to 70°, sorted by position:
- 13.38°, intensity 837
- 25.61°, intensity 203
- 32.07°, intensity 357
- 32.90°, intensity 1000
- 37.52°, intensity 345
- 40.01°, intensity 253
- 43.24°, intensity 315
- 49.97°, intensity 300
- 62.14°, intensity 110
- 65.61°, intensity 163

Crystal structure
a b c (Å): 9.356 9.356 20.870
angles (deg): 90.00 90.00 90.00
Positions (direct):
Ta  0.250  0.250  0.068
Ta  0.250  0.250  0.263
Ta  0.250  0.250  0.415
Ta  0.250  0.250  0.568
Ta  0.250  0.250  0.763
Ta  0.250  0.250  0.915
Ta  0.750  0.750  0.085
Ta  0.750  0.750  0.237
Ta  0.750  0.750  0.432
Ta  0.750  0.750  0.585
Ta  0.750  0.750  0.737
Ta  0.750  0.750  0.932
Te  0.009  0.165  0.335
Te  0.009  0.335  0.835
Te  0.013  0.158  0.996
Te  0.013  0.342  0.496
Te  0.036  0.154  0.666
Te  0.036  0.346  0.166
Te  0.154  0.036  0.166
Te  0.154  0.464  0.666
Te  0.158  0.013  0.496
Te  0.158  0.487  0.996
Te  0.165  0.009  0.835
Te  0.165  0.491  0.335
Te  0.335  0.009  0.335
Te  0.335  0.491  0.835
Te  0.342  0.013  0.996
Te  0.342  0.487  0.496
Te  0.346  0.036  0.666
Te  0.346  0.464  0.166
Te  0.464  0.154  0.166
Te  0.464  0.346  0.666
Te  0.487  0.158  0.496
Te  0.487  0.342  0.996
Te  0.491  0.165  0.835
Te  0.491  0.335  0.335
Te  0.509  0.665  0.665
Te  0.509  0.835  0.165
Te  0.513  0.658  0.004
Te  0.513  0.842  0.504
Te  0.536  0.654  0.334
Te  0.536  0.846  0.834
Te  0.654  0.536  0.834
Te  0.654  0.964  0.334
Te  0.658  0.513  0.504
Te  0.658  0.987  0.004
Te  0.665  0.509  0.165
Te  0.665  0.991  0.665
Te  0.835  0.509  0.665
Te  0.835  0.991  0.165
Te  0.842  0.513  0.004
Te  0.842  0.987  0.504
Te  0.846  0.536  0.334
Te  0.846  0.964  0.834
Te  0.964  0.654  0.834
Te  0.964  0.846  0.334
Te  0.987  0.658  0.504
Te  0.987  0.842  0.004
Te  0.991  0.665  0.165
Te  0.991  0.835  0.665



[10]
Simulated powder diffractogram
Compound: TaTe2
Radiation: copper Kα
Structure: the PBE geometry in OQMD
Peak positions follow from Bragg's law for the DFT cell and can differ from measured ones.

Most intense lines, 2θ from 5° to 70°, sorted by position:
- 12.62°, intensity 1000
- 28.60°, intensity 772
- 30.70°, intensity 424
- 32.19°, intensity 419
- 33.94°, intensity 597
- 35.90°, intensity 615
- 38.06°, intensity 468
- 40.39°, intensity 402
- 42.86°, intensity 202
- 49.31°, intensity 706

Crystal structure
a b c (Å): 3.696 3.696 28.056
angles (deg): 90.00 90.00 120.00
Positions (direct):
Ta  0.000  0.000  0.000
Ta  0.000  0.000  0.250
Ta  0.000  0.000  0.750
Ta  0.667  0.333  0.500
Te  0.000  0.000  0.435
Te  0.000  0.000  0.565
Te  0.333  0.667  0.185
Te  0.333  0.667  0.315
Te  0.333  0.667  0.685
Te  0.333  0.667  0.815
Te  0.667  0.333  0.065
Te  0.667  0.333  0.935



[11]
Simulated powder diffractogram
Compound: Ta3TlTe5
Radiation: copper Kα
Structure: the PBE geometry in OQMD
Peak positions follow from Bragg's law for the DFT cell and can differ from measured ones.

Most intense lines, 2θ from 5° to 70°, sorted by position:
- 10.51°, intensity 564
- 20.20°, intensity 242
- 27.35°, intensity 364
- 30.02°, intensity 398
- 31.89°, intensity 284
- 34.80°, intensity 244
- 36.45°, intensity 421
- 41.06°, intensity 1000
- 53.30°, intensity 204
- 62.40°, intensity 221

Crystal structure
a b c (Å): 5.953 5.953 8.421
angles (deg): 90.00 90.00 120.00
Positions (direct):
Ta  0.000  0.500  0.000
Ta  0.500  0.000  0.000
Ta  0.500  0.500  0.000
Tl  0.000  0.000  0.500
Te  0.000  0.000  0.000
Te  0.333  0.667  0.271
Te  0.333  0.667  0.729
Te  0.667  0.333  0.271
Te  0.667  0.333  0.729



[12]
Simulated powder diffractogram
Compound: ThZrTa
Radiation: copper Kα
Structure: the PBE geometry in OQMD
Peak positions follow from Bragg's law for the DFT cell and can differ from measured ones.

Most intense lines, 2θ from 5° to 70°, sorted by position:
- 22.22°, intensity 545
- 25.72°, intensity 13
- 36.69°, intensity 1000
- 43.31°, intensity 298
- 52.85°, intensity 177
- 58.02°, intensity 129
- 66.06°, intensity 364

Crystal structure
a b c (Å): 6.929 6.929 6.929
angles (deg): 90.00 90.00 90.00
Positions (direct):
Th  0.000  0.000  0.000
Th  0.000  0.500  0.500
Th  0.500  0.000  0.500
Th  0.500  0.500  0.000
Zr  0.250  0.250  0.250
Zr  0.250  0.750  0.750
Zr  0.750  0.250  0.750
Zr  0.750  0.750  0.250
Ta  0.250  0.250  0.750
Ta  0.250  0.750  0.250
Ta  0.750  0.250  0.250
Ta  0.750  0.750  0.750



Please write out number 9 again, unchanged.
Simulated powder diffractogram
Compound: TaTe4
Radiation: copper Kα
Structure: the PBE geometry in OQMD
Peak positions follow from Bragg's law for the DFT cell and can differ from measured ones.

Most intense lines, 2θ from 5° to 70°, sorted by position:
- 13.38°, intensity 837
- 25.61°, intensity 203
- 32.07°, intensity 357
- 32.90°, intensity 1000
- 37.52°, intensity 345
- 40.01°, intensity 253
- 43.24°, intensity 315
- 49.97°, intensity 300
- 62.14°, intensity 110
- 65.61°, intensity 163

Crystal structure
a b c (Å): 9.356 9.356 20.870
angles (deg): 90.00 90.00 90.00
Positions (direct):
Ta  0.250  0.250  0.068
Ta  0.250  0.250  0.263
Ta  0.250  0.250  0.415
Ta  0.250  0.250  0.568
Ta  0.250  0.250  0.763
Ta  0.250  0.250  0.915
Ta  0.750  0.750  0.085
Ta  0.750  0.750  0.237
Ta  0.750  0.750  0.432
Ta  0.750  0.750  0.585
Ta  0.750  0.750  0.737
Ta  0.750  0.750  0.932
Te  0.009  0.165  0.335
Te  0.009  0.335  0.835
Te  0.013  0.158  0.996
Te  0.013  0.342  0.496
Te  0.036  0.154  0.666
Te  0.036  0.346  0.166
Te  0.154  0.036  0.166
Te  0.154  0.464  0.666
Te  0.158  0.013  0.496
Te  0.158  0.487  0.996
Te  0.165  0.009  0.835
Te  0.165  0.491  0.335
Te  0.335  0.009  0.335
Te  0.335  0.491  0.835
Te  0.342  0.013  0.996
Te  0.342  0.487  0.496
Te  0.346  0.036  0.666
Te  0.346  0.464  0.166
Te  0.464  0.154  0.166
Te  0.464  0.346  0.666
Te  0.487  0.158  0.496
Te  0.487  0.342  0.996
Te  0.491  0.165  0.835
Te  0.491  0.335  0.335
Te  0.509  0.665  0.665
Te  0.509  0.835  0.165
Te  0.513  0.658  0.004
Te  0.513  0.842  0.504
Te  0.536  0.654  0.334
Te  0.536  0.846  0.834
Te  0.654  0.536  0.834
Te  0.654  0.964  0.334
Te  0.658  0.513  0.504
Te  0.658  0.987  0.004
Te  0.665  0.509  0.165
Te  0.665  0.991  0.665
Te  0.835  0.509  0.665
Te  0.835  0.991  0.165
Te  0.842  0.513  0.004
Te  0.842  0.987  0.504
Te  0.846  0.536  0.334
Te  0.846  0.964  0.834
Te  0.964  0.654  0.834
Te  0.964  0.846  0.334
Te  0.987  0.658  0.504
Te  0.987  0.842  0.004
Te  0.991  0.665  0.165
Te  0.991  0.835  0.665



Please write out number 3 again, unchanged.
Simulated powder diffractogram
Compound: Sr3Tl2Tc2
Radiation: copper Kα
Structure: the PBE geometry in OQMD
Peak positions follow from Bragg's law for the DFT cell and can differ from measured ones.

Most intense lines, 2θ from 5° to 70°, sorted by position:
- 21.03°, intensity 240
- 28.96°, intensity 379
- 30.34°, intensity 1000
- 31.64°, intensity 892
- 34.89°, intensity 379
- 42.81°, intensity 254
- 43.30°, intensity 246
- 54.61°, intensity 381
- 56.37°, intensity 191
- 61.27°, intensity 191

Crystal structure
a b c (Å): 4.179 22.836 4.225
angles (deg): 90.00 90.00 90.00
Positions (direct):
Sr  0.000  0.000  0.000
Sr  0.000  0.170  0.000
Sr  0.000  0.830  0.000
Sr  0.500  0.330  0.000
Sr  0.500  0.500  0.000
Sr  0.500  0.670  0.000
Tl  0.000  0.407  0.500
Tl  0.000  0.593  0.500
Tl  0.500  0.093  0.500
Tl  0.500  0.907  0.500
Tc  0.000  0.275  0.500
Tc  0.000  0.725  0.500
Tc  0.500  0.225  0.500
Tc  0.500  0.775  0.500